Structure and simulated powder X-ray diffraction pattern of ZnS (the PBE geometry in the Materials Project; Cu Kα).
No peak broadening, texture or thermal motion is included.

Peak list (10 most intense, 10 to 90 degrees two-theta, low angle first)
2θ (°)  d [Å]  I (rel.)  hkl
27.6  3.226  21  1 0 4
28.2  3.168  100  1 0 5
28.3  3.149  71  0 0 16
28.8  3.102  72  1 0 6
32.2  2.783  16  1 0 10
46.6  1.948  38  1 0 21
47.2  1.927  87  1 1 0
48.2  1.889  33  1 0 22
55.9  1.644  72  1 1 16
88.5  1.105  17  1 0 43

Crystal structure
```
data_ZnS
_chemical_formula_sum 'Zn16 S16'
_space_group_name_H-M_alt 'P 63 m c'
_space_group_IT_number 186
_space_group_name_Hall 'P 6c -2c'
_cell_length_a 3.8539
_cell_length_b 3.8539
_cell_length_c 50.3906
_cell_angle_alpha 90.00
_cell_angle_beta 90.00
_cell_angle_gamma 120.00
loop_
_atom_site_label
_atom_site_type_symbol
_atom_site_fract_x
_atom_site_fract_y
_atom_site_fract_z
_atom_site_occupancy
Zn1 Zn 0.0000 0.0000 0.0000 1
Zn2 Zn 0.0000 0.0000 0.1250 1
Zn3 Zn 0.0000 0.0000 0.3125 1
Zn4 Zn 0.3333 0.6667 0.0625 1
Zn5 Zn 0.3333 0.6667 0.2500 1
Zn6 Zn 0.3333 0.6667 0.4375 1
Zn7 Zn 0.3333 0.6667 0.6875 1
Zn8 Zn 0.3333 0.6667 0.8750 1
S1 S 0.0000 0.0000 0.0468 1
S2 S 0.0000 0.0000 0.1719 1
S3 S 0.0000 0.0000 0.3594 1
S4 S 0.3333 0.6667 0.1094 1
S5 S 0.3333 0.6667 0.2969 1
S6 S 0.3333 0.6667 0.4844 1
S7 S 0.3333 0.6667 0.7344 1
S8 S 0.3333 0.6667 0.9219 1
```